# 1
Structure and theoretical powder diffraction line list of KOs2O6 (the PBE geometry in the Materials Project; λ = 1.5418 Å (Cu Kα)).
Peak positions follow from Bragg's law for the DFT cell and can differ from measured ones.

Principal peaks in the range 10 to 80 degrees two-theta, in order of rising 2θ:
| 2θ (°) | d [Å] | I_rel |
| --- | --- | --- |
| 15.02 | 5.898 | 100 |
| 28.99 | 3.080 | 90 |
| 30.31 | 2.949 | 77 |
| 35.14 | 2.554 | 20 |
| 38.41 | 2.344 | 14 |
| 46.15 | 1.967 | 16 |
| 50.54 | 1.806 | 40 |
| 53.02 | 1.727 | 16 |
| 60.06 | 1.540 | 25 |
| 70.88 | 1.329 | 16 |

Crystal structure
```
KOs2O6
1.0
3.609 2.083 5.908
-3.609 2.083 5.908
0.000 -4.167 5.908
K Os O
2 4 12
Cartesian
0.000 0.000 0.000
0.000 0.000 4.147
-1.806 -1.042 7.836
1.806 -1.042 7.836
0.000 2.085 7.836
0.000 0.000 10.789
0.000 -1.597 7.432
-1.383 0.798 7.432
-1.369 -0.790 9.693
0.000 -1.597 11.862
-1.377 -0.795 14.114
-1.383 0.798 11.862
1.369 -0.790 9.693
0.000 1.580 9.693
1.383 0.798 7.432
1.377 -0.795 14.114
0.000 1.591 14.114
1.383 0.798 11.862
```

# 2
Structure and theoretical powder diffraction line list of Rb2InAuI6 (the PBE geometry in the Materials Project; λ = 1.5418 Å (Cu Kα)).
Peak positions follow from Bragg's law for the DFT cell and can differ from measured ones.

Principal peaks in the range 10 to 80 degrees two-theta, in order of rising 2θ:
| 2θ (°) | d [Å] | I_rel |
| --- | --- | --- |
| 14.87 | 5.958 | 53 |
| 21.09 | 4.213 | 17 |
| 25.90 | 3.440 | 48 |
| 30.00 | 2.979 | 100 |
| 33.64 | 2.664 | 29 |
| 42.94 | 2.106 | 74 |
| 50.83 | 1.796 | 21 |
| 53.26 | 1.720 | 26 |
| 70.71 | 1.332 | 33 |
| 78.68 | 1.216 | 25 |

Crystal structure
```
Rb2InAuI6
1.0
0.000 5.958 5.958
5.958 0.000 5.958
5.958 5.958 0.000
Rb In Au I
2 1 1 6
Cartesian
2.979 2.979 2.979
8.937 8.937 8.937
0.000 0.000 0.000
5.958 5.958 5.958
5.958 5.958 3.005
5.958 3.005 5.958
8.910 5.958 5.958
3.005 5.958 5.958
5.958 8.910 5.958
5.958 5.958 8.910
```

# 3
Structure and theoretical powder diffraction line list of HoTe (the PBE geometry in the Materials Project; λ = 1.5418 Å (Cu Kα)).
Peak positions follow from Bragg's law for the DFT cell and can differ from measured ones.

Principal peaks in the range 10 to 80 degrees two-theta, in order of rising 2θ:
| 2θ (°) | d [Å] | I_rel |
| --- | --- | --- |
| 25.16 | 3.540 | 3 |
| 29.13 | 3.066 | 100 |
| 41.67 | 2.168 | 76 |
| 49.29 | 1.849 | 2 |
| 51.64 | 1.770 | 27 |
| 60.39 | 1.533 | 13 |
| 66.47 | 1.407 | 1 |
| 68.43 | 1.371 | 35 |
| 76.05 | 1.252 | 26 |

Crystal structure
```
HoTe
1.0
0.000 3.066 3.066
3.066 0.000 3.066
3.066 3.066 0.000
Ho Te
1 1
Cartesian
0.000 0.000 0.000
3.066 3.066 3.066
```

# 4
Structure and theoretical powder diffraction line list of KAs2HO6 (the PBE geometry in the Materials Project; λ = 1.5418 Å (Cu Kα)).
Peak positions follow from Bragg's law for the DFT cell and can differ from measured ones.

Principal peaks in the range 10 to 80 degrees two-theta, in order of rising 2θ:
| 2θ (°) | d [Å] | I_rel |
| --- | --- | --- |
| 13.09 | 6.761 | 100 |
| 14.29 | 6.199 | 97 |
| 16.89 | 5.249 | 83 |
| 19.96 | 4.448 | 97 |
| 24.56 | 3.625 | 41 |
| 24.78 | 3.593 | 95 |
| 30.22 | 2.957 | 52 |
| 30.78 | 2.904 | 49 |
| 32.62 | 2.745 | 46 |
| 34.20 | 2.622 | 59 |

Crystal structure
```
KAs2HO6
1.0
6.217 0.000 0.000
0.000 9.863 0.000
-0.709 0.000 9.287
K As H O
4 8 4 24
Cartesian
0.328 1.907 4.416
-0.027 3.024 9.060
5.535 6.838 0.227
5.180 7.956 4.871
1.578 6.038 7.003
1.933 8.757 2.359
2.124 5.899 3.870
1.769 8.895 8.513
3.739 0.968 0.774
3.385 3.964 5.418
3.576 1.106 6.928
3.930 3.825 2.284
0.165 5.336 2.687
-0.190 9.458 7.331
5.698 0.405 1.957
5.344 4.527 6.600
0.116 5.510 7.633
0.470 9.285 2.989
0.529 6.175 3.098
0.175 8.619 7.742
1.435 6.785 5.432
1.790 8.009 0.789
1.381 0.697 9.257
1.736 4.235 4.613
2.737 5.099 2.246
2.383 9.695 6.889
2.434 7.222 7.990
2.789 7.572 3.347
2.719 2.291 5.941
3.074 2.641 1.297
3.126 0.168 2.398
2.771 4.764 7.042
3.773 5.628 4.674
4.127 9.166 0.031
3.719 1.854 8.499
4.073 3.077 3.855
5.333 1.244 1.546
4.979 3.687 6.189
5.038 0.578 6.298
5.393 4.353 1.654
```

# 5
Structure and theoretical powder diffraction line list of RbBiF4 (the PBE geometry in the Materials Project; λ = 1.5418 Å (Cu Kα)).
Peak positions follow from Bragg's law for the DFT cell and can differ from measured ones.

Principal peaks in the range 10 to 80 degrees two-theta, in order of rising 2θ:
| 2θ (°) | d [Å] | I_rel |
| --- | --- | --- |
| 23.75 | 3.747 | 92 |
| 24.02 | 3.706 | 100 |
| 24.48 | 3.637 | 87 |
| 26.59 | 3.352 | 68 |
| 28.15 | 3.170 | 46 |
| 28.63 | 3.118 | 61 |
| 29.11 | 3.068 | 37 |
| 38.99 | 2.310 | 33 |
| 42.14 | 2.144 | 55 |
| 43.34 | 2.088 | 31 |

Crystal structure
```
RbBiF4
1.0
4.315 0.000 0.000
1.861 3.899 0.000
1.551 1.517 21.822
Rb Bi F
3 3 12
Cartesian
0.000 0.000 0.000
3.090 2.469 18.078
4.519 2.990 3.717
2.308 1.924 7.203
5.037 4.090 14.182
4.916 1.159 10.738
2.997 4.770 13.647
2.648 4.144 7.516
2.428 1.646 4.926
3.270 2.291 14.771
3.351 1.684 12.164
3.074 1.299 9.588
4.969 3.949 16.318
4.051 2.559 1.158
4.803 2.838 6.439
5.415 3.118 11.558
5.264 2.503 8.981
7.141 5.032 19.292
```

# 6
Structure and theoretical powder diffraction line list of Ni16GeP5 (the PBE geometry in the Materials Project; λ = 1.5418 Å (Cu Kα)).
Peak positions follow from Bragg's law for the DFT cell and can differ from measured ones.

Principal peaks in the range 10 to 80 degrees two-theta, in order of rising 2θ:
| 2θ (°) | d [Å] | I_rel |
| --- | --- | --- |
| 40.53 | 2.226 | 28 |
| 42.33 | 2.135 | 44 |
| 42.61 | 2.122 | 23 |
| 43.31 | 2.089 | 27 |
| 44.70 | 2.027 | 21 |
| 46.13 | 1.968 | 55 |
| 46.91 | 1.937 | 39 |
| 47.57 | 1.912 | 50 |
| 47.82 | 1.902 | 100 |
| 48.00 | 1.896 | 48 |

Crystal structure
```
Ni16GeP5
1.0
6.581 0.000 0.000
-3.252 5.810 0.000
-1.465 -1.982 6.283
Ni Ge P
16 1 5
Cartesian
-0.762 0.824 1.022
-1.540 -0.398 5.021
-1.471 2.842 2.501
0.459 -1.172 3.791
-1.433 2.169 5.011
-0.656 5.029 0.936
1.268 0.796 2.473
0.880 2.902 1.033
0.984 0.926 5.250
0.596 3.032 3.811
2.520 -1.201 5.348
3.297 1.659 1.272
1.405 5.000 2.493
3.336 0.986 3.783
3.405 4.225 1.263
2.626 3.004 5.261
-1.626 2.905 0.000
-0.730 0.896 3.346
0.160 -0.997 6.278
2.558 -0.991 3.142
1.704 4.825 0.005
2.594 2.932 2.937
```

# 7
Structure and theoretical powder diffraction line list of Y2Pt (the PBE geometry in the Materials Project; λ = 1.5418 Å (Cu Kα)).
Peak positions follow from Bragg's law for the DFT cell and can differ from measured ones.

Principal peaks in the range 10 to 80 degrees two-theta, in order of rising 2θ:
| 2θ (°) | d [Å] | I_rel |
| --- | --- | --- |
| 23.67 | 3.759 | 35 |
| 24.51 | 3.632 | 52 |
| 30.23 | 2.957 | 43 |
| 32.75 | 2.735 | 100 |
| 35.86 | 2.504 | 81 |
| 37.57 | 2.394 | 63 |
| 42.93 | 2.107 | 38 |
| 43.42 | 2.084 | 39 |
| 44.05 | 2.056 | 49 |
| 68.95 | 1.362 | 34 |

Crystal structure
```
Y2Pt
1.0
7.197 0.000 0.000
0.000 4.788 0.000
0.000 0.000 8.815
Y Pt
8 4
Cartesian
0.084 1.197 1.485
1.043 1.197 5.115
2.556 3.591 0.708
3.514 3.591 5.892
3.683 1.197 2.922
4.642 1.197 8.107
6.154 3.591 3.700
7.113 3.591 7.330
1.739 1.197 7.986
1.860 3.591 3.579
5.338 1.197 5.236
5.458 3.591 0.829
```